1.
Diffraction record for LiMnP2O7. The powder X-ray diffraction pattern is theoretical, not measured: it uses a crystal structure in the Materials Project, relaxed with GGA+U and Cu Kα X-rays.
Neutral-atom scattering factors, no anomalous dispersion.

Main lines, in order of rising 2θ (15° ≤ 2θ ≤ 90°):
17.73 deg, intensity 100
21.51 deg, intensity 35
22.99 deg, intensity 27
25.53 deg, intensity 34
27.95 deg, intensity 65
30.30 deg, intensity 97

Structural model:
```
data_LiMnP2O7
_cell_length_a 7.2893
_cell_length_b 7.8953
_cell_length_c 9.2690
_cell_angle_alpha 90.00
_cell_angle_beta 106.77
_cell_angle_gamma 90.00
_symmetry_space_group_name_H-M 'P 1 21/c 1'
_symmetry_Int_Tables_number 14
_symmetry_space_group_name_Hall '-P 2ybc'
loop_
_atom_site_label
_atom_site_type_symbol
_atom_site_fract_x
_atom_site_fract_y
_atom_site_fract_z
Li1 Li 0.1868 0.0099 0.2076
Mn1 Mn 0.2227 0.0084 0.7425
P1 P 0.1781 0.7235 0.9568
P2 P 0.3971 0.2306 0.0392
O1 O 0.0660 0.5859 0.8558
O2 O 0.1115 0.5965 0.3944
O3 O 0.1826 0.7124 0.1235
O4 O 0.2979 0.2077 0.8692
O5 O 0.3059 0.1134 0.5880
O6 O 0.3901 0.6997 0.9443
O7 O 0.4127 0.0741 0.1362
```

2.
Diffraction record for LiMnP2O7. The powder X-ray diffraction pattern is theoretical, not measured: it uses a crystal structure in the Materials Project, relaxed with GGA+U and Cu Kα X-rays.
Neutral-atom scattering factors, no anomalous dispersion.

Main lines, in order of rising 2θ (15° ≤ 2θ ≤ 90°):
21.42 deg, intensity 100
22.43 deg, intensity 50
22.95 deg, intensity 64
23.19 deg, intensity 61
25.35 deg, intensity 56
36.76 deg, intensity 35

Structural model:
```
data_LiMnP2O7
_cell_length_a 4.9567
_cell_length_b 6.6039
_cell_length_c 16.6014
_cell_angle_alpha 90.00
_cell_angle_beta 91.60
_cell_angle_gamma 90.00
_symmetry_space_group_name_H-M 'P 1 21/c 1'
_symmetry_Int_Tables_number 14
_symmetry_space_group_name_Hall '-P 2ybc'
loop_
_atom_site_label
_atom_site_type_symbol
_atom_site_fract_x
_atom_site_fract_y
_atom_site_fract_z
Li1 Li 0.2437 0.0212 0.2404
Mn1 Mn 0.2492 0.0818 0.8738
P1 P 0.2401 0.2033 0.0735
P2 P 0.2499 0.5968 0.1630
O1 O 0.0288 0.1907 0.3170
O2 O 0.0640 0.0929 0.1368
O3 O 0.1495 0.1775 0.9877
O4 O 0.1948 0.0584 0.5907
O5 O 0.3721 0.0121 0.7361
O6 O 0.4283 0.7394 0.6284
O7 O 0.4623 0.6594 0.4051
```